Starting from the PBE geometry in OQMD, the PXRD pattern of DyTmTlC was calculated for CuKα.
Peak positions follow from Bragg's law for the DFT cell and can differ from measured ones.

```
8
Lattice="3.585 0.000 0.000 -1.792 3.104 0.000 0.000 0.000 16.176" Properties=species:S:1:pos:R:3 pbc="T T T"
Dy 0.000 0.000 2.736
Dy 0.000 0.000 13.440
Tm 0.000 2.070 5.417
Tm 0.000 2.070 10.759
Tl 0.000 0.000 8.088
Tl 0.000 2.070 0.000
C 1.792 1.035 4.083
C 1.792 1.035 12.093
```

Main lines, in order of rising 2θ (15° ≤ 2θ ≤ 90°):
index	d_spacing	intensity
1 0 0	3.104	18.4
0 0 6	2.691	100.0
1 0 6	2.036	13.3
1 1 0	1.792	17.4
1 0 9	1.555	15.8
1 1 6	1.492	31.8